No. 1
Structure and simulated X-ray diffraction stick pattern of MgCd2 (a crystal structure in the Materials Project, relaxed with PBE; CuKα).

Cell and atoms:
```
data_MgCd2
_chemical_formula_sum 'Mg4 Cd8'
_cell_length_a 3.2157
_cell_length_b 16.1843
_cell_length_c 5.1086
_cell_angle_alpha 90.00
_cell_angle_beta 90.00
_cell_angle_gamma 90.00
_symmetry_space_group_name_H-M 'C m c m'
_symmetry_Int_Tables_number 63
_symmetry_space_group_name_Hall '-C 2c 2'
loop_
_atom_site_label
_atom_site_fract_x
_atom_site_fract_y
_atom_site_fract_z
Mg1 0.0000 0.0576 0.2500
Cd1 0.0000 0.2789 0.7500
Cd2 0.0000 0.3918 0.2500
```

Main lines, low angle first (5 to 70 degrees two-theta):
| index | 2theta | d (Å) | I_rel |
| --- | --- | --- | --- |
| 0 2 0 | 10.93 | 8.092 | 35 |
| 0 4 1 | 28.13 | 3.172 | 19 |
| 1 3 0 | 32.41 | 2.762 | 21 |
| 0 0 2 | 35.13 | 2.554 | 36 |
| 1 3 1 | 36.99 | 2.430 | 100 |
| 0 6 1 | 37.71 | 2.385 | 42 |
| 1 9 0 | 58.84 | 1.570 | 17 |
| 1 3 3 | 64.26 | 1.450 | 18 |

***

No. 2
Structure and simulated X-ray diffraction stick pattern of MgCd2 (a crystal structure in the Materials Project, relaxed with PBE; CuKα).

Cell and atoms:
```
data_MgCd2
_chemical_formula_sum 'Mg2 Cd4'
_cell_length_a 6.6634
_cell_length_b 6.6634
_cell_length_c 4.4450
_cell_angle_alpha 90.00
_cell_angle_beta 90.00
_cell_angle_gamma 90.00
_symmetry_space_group_name_H-M 'P 42/m n m'
_symmetry_Int_Tables_number 136
_symmetry_space_group_name_Hall '-P 4n 2n'
loop_
_atom_site_label
_atom_site_fract_x
_atom_site_fract_y
_atom_site_fract_z
Mg1 0.0000 0.0000 0.0000
Cd1 0.1992 0.1992 0.5000
```

Main lines, low angle first (5 to 70 degrees two-theta):
| index | 2theta | d (Å) | I_rel |
| --- | --- | --- | --- |
| 2 0 0 | 26.76 | 3.332 | 32 |
| 1 1 1 | 27.59 | 3.233 | 100 |
| 2 1 0 | 29.99 | 2.980 | 32 |
| 2 1 1 | 36.29 | 2.475 | 16 |
| 2 2 0 | 38.20 | 2.356 | 15 |
| 3 0 1 | 45.66 | 1.987 | 26 |
| 3 1 1 | 47.77 | 1.904 | 16 |
| 4 1 0 | 56.97 | 1.616 | 21 |

***

No. 3
Structure and simulated X-ray diffraction stick pattern of MgCd2 (a crystal structure in the Materials Project, relaxed with PBE; CuKα).

Cell and atoms:
```
data_MgCd2
_chemical_formula_sum 'Mg2 Cd4'
_cell_length_a 3.1525
_cell_length_b 3.1525
_cell_length_c 15.6731
_cell_angle_alpha 90.00
_cell_angle_beta 90.00
_cell_angle_gamma 120.00
_symmetry_space_group_name_H-M 'P 63/m m c'
_symmetry_Int_Tables_number 194
_symmetry_space_group_name_Hall '-P 6c 2c'
loop_
_atom_site_label
_atom_site_fract_x
_atom_site_fract_y
_atom_site_fract_z
Mg1 0.3333 0.6667 0.2500
Cd1 0.3333 0.6667 0.5848
```

Main lines, low angle first (5 to 70 degrees two-theta):
| index | 2theta | d (Å) | I_rel |
| --- | --- | --- | --- |
| 0 0 2 | 11.29 | 7.837 | 41 |
| 1 0 0 | 32.80 | 2.730 | 24 |
| 1 0 1 | 33.31 | 2.690 | 17 |
| 0 0 6 | 34.33 | 2.612 | 28 |
| 1 0 3 | 37.16 | 2.420 | 100 |
| 1 1 0 | 58.56 | 1.576 | 17 |
| 1 0 9 | 63.35 | 1.468 | 20 |
| 1 1 6 | 69.67 | 1.350 | 19 |